No. 1
# Ac14Co3Ag6
Simulated XRD peak list, Cu Ka. Input: a structure optimized by DFT (PBE).

```
23
Lattice="11.0241 0.0000 0.0000 -5.5120 9.5471 0.0000 0.0000 0.0000 7.4957" Properties=species:S:1:pos:R:3 pbc="T T T"
Ac 0.0000 0.0000 0.0000
Ac -2.0765 5.1659 2.1802
Ac 0.0000 3.9299 5.6660
Ac -2.1086 7.5822 5.6660
Ac 2.0372 1.1762 3.4713
Ac 3.4614 1.9984 7.2863
Ac 2.0765 5.1659 2.1802
Ac 0.0000 8.7625 2.1802
Ac 2.1086 7.5822 5.6660
Ac 5.5120 3.1824 3.8064
Ac 7.5627 1.9984 7.2863
Ac 5.5120 5.5503 7.2863
Ac 8.9869 1.1762 3.4713
Ac 5.5120 7.1948 3.4713
Co 0.0000 0.0000 4.9135
Co 0.0000 6.3647 3.9617
Co 5.5120 3.1824 1.2155
Ag 0.0000 2.8169 1.3909
Ag -3.0726 8.1387 1.3909
Ag 5.5120 0.3993 5.2420
Ag 3.1018 4.5739 5.2420
Ag 3.0725 8.1387 1.3909
Ag 7.9223 4.5739 5.2420
```

The 12 most intense peaks (2θ = 10–80°), sorted by position:
24.67 deg, I 15.6
25.53 deg, I 42.2
27.43 deg, I 100.0
30.32 deg, I 48.7
30.52 deg, I 46.7
32.49 deg, I 37.6
40.76 deg, I 17.6
46.19 deg, I 26.5
48.12 deg, I 27.2
49.25 deg, I 23.1
49.61 deg, I 23.9
72.49 deg, I 17.8

No. 2
# Ba2HIrO6
Simulated XRD peak list, Cu Ka. Input: a structure optimized by DFT (PBE).

```
10
Lattice="3.9967 -4.6400 0.0000 3.9967 4.6400 0.0000 -3.7249 0.0000 4.0922" Properties=species:S:1:pos:R:3 pbc="T T T"
Ba 3.9967 2.4545 0.0000
Ba 3.9967 -2.4545 0.0000
H 4.8519 0.0000 1.6882
Ir 2.1341 0.0000 2.0443
O 0.3284 0.0000 1.7377
O 2.1764 1.9584 2.0550
O 2.7876 0.0000 0.3072
O 2.1764 -1.9584 2.0550
O 2.1766 0.0000 3.9138
O 4.2708 0.0000 2.4787
```

The 12 most intense peaks (2θ = 10–80°), sorted by position:
17.79 deg, I 62.2
18.67 deg, I 86.7
29.10 deg, I 100.0
29.54 deg, I 92.1
30.24 deg, I 51.5
32.37 deg, I 40.7
32.67 deg, I 25.6
38.82 deg, I 36.1
44.27 deg, I 24.8
45.49 deg, I 22.3
49.98 deg, I 22.3
53.55 deg, I 21.0

No. 3
# Mn2V4C
Simulated XRD peak list, Cu Ka. Input: a structure optimized by DFT (PBE).

```
14
Lattice="3.8976 0.0000 0.0000 0.0000 3.8976 0.0000 0.0000 0.0000 11.9237" Properties=species:S:1:pos:R:3 pbc="T T T"
Mn 0.0000 0.0000 1.6410
Mn 0.0000 0.0000 10.2827
Mn 1.9488 1.9488 4.3208
Mn 1.9488 1.9488 7.6029
V 0.0000 0.0000 3.8362
V 0.0000 0.0000 8.0875
V 0.0000 1.9488 0.0000
V 0.0000 1.9488 5.9619
V 1.9488 0.0000 0.0000
V 1.9488 0.0000 5.9619
V 1.9488 1.9488 2.1257
V 1.9488 1.9488 9.7980
C 0.0000 0.0000 5.9619
C 1.9488 1.9488 0.0000
```

The 12 most intense peaks (2θ = 10–80°), sorted by position:
14.86 deg, I 9.4
32.49 deg, I 34.9
35.90 deg, I 100.0
44.54 deg, I 30.4
44.79 deg, I 86.0
45.65 deg, I 26.4
46.60 deg, I 81.0
59.20 deg, I 7.1
66.44 deg, I 16.0
67.29 deg, I 29.2
68.03 deg, I 23.1
79.39 deg, I 16.3

No. 4
# Ac5HfGe4
Simulated XRD peak list, Cu Ka. Input: a structure optimized by DFT (PBE).

```
10
Lattice="9.5412 -2.1764 0.0000 9.5412 2.1764 0.0000 -2.0167 0.0000 8.2170" Properties=species:S:1:pos:R:3 pbc="T T T"
Ac 0.0000 0.0000 0.0000
Ac 4.9233 0.0000 5.4725
Ac 6.1494 0.0000 1.2730
Ac 10.9163 0.0000 6.9440
Ac 12.1424 0.0000 2.7445
Hf -1.0084 0.0000 4.1085
Ge 1.7644 0.0000 4.7956
Ge 8.0403 0.0000 5.8704
Ge 9.0254 0.0000 2.3466
Ge 15.3013 0.0000 3.4214
```

The 12 most intense peaks (2θ = 10–80°), sorted by position:
25.03 deg, I 58.1
25.31 deg, I 28.1
25.73 deg, I 28.1
28.91 deg, I 51.6
29.45 deg, I 100.0
41.47 deg, I 58.3
42.00 deg, I 37.9
42.76 deg, I 17.1
48.91 deg, I 14.9
51.36 deg, I 21.5
61.10 deg, I 12.3
68.55 deg, I 18.1

No. 5
# LaDy2Ga6
Simulated XRD peak list, Cu Ka. Input: a structure optimized by DFT (PBE).

```
9
Lattice="7.3597 0.0000 0.0000 -3.6798 6.3737 0.0000 0.0000 0.0000 4.2367" Properties=species:S:1:pos:R:3 pbc="T T T"
La 0.0000 0.0000 0.0000
Dy 0.0000 4.2491 0.0000
Dy 3.6798 2.1246 0.0000
Ga -1.2352 2.1393 2.1183
Ga -2.4447 4.2343 2.1183
Ga 2.4703 0.0000 2.1183
Ga 1.2352 2.1393 2.1183
Ga 4.8894 0.0000 2.1183
Ga 2.4447 4.2343 2.1183
```

The 12 most intense peaks (2θ = 10–80°), sorted by position:
24.19 deg, I 12.5
32.22 deg, I 100.0
42.55 deg, I 40.8
42.68 deg, I 13.5
49.54 deg, I 1.9
49.66 deg, I 3.7
54.36 deg, I 22.5
61.85 deg, I 26.4
67.37 deg, I 3.1
71.38 deg, I 19.7
71.57 deg, I 9.8
77.88 deg, I 6.7

No. 6
# Pr5Tm2Tl4
Simulated XRD peak list, Cu Ka. Input: a structure optimized by DFT (PBE).

```
11
Lattice="12.3340 -1.7646 0.0000 12.3340 1.7646 0.0000 -0.4188 0.0000 8.1924" Properties=species:S:1:pos:R:3 pbc="T T T"
Pr 0.0000 0.0000 0.0000
Pr 6.4945 0.0000 1.8135
Pr 8.4852 0.0000 7.2158
Pr 15.7641 0.0000 0.9766
Pr 17.7547 0.0000 6.3790
Tm 10.0162 0.0000 2.3223
Tm 14.2330 0.0000 5.8701
Tl 3.8001 0.0000 3.8503
Tl 11.1222 0.0000 5.2995
Tl 13.1271 0.0000 2.8929
Tl 20.4491 0.0000 4.3421
```

The 12 most intense peaks (2θ = 10–80°), sorted by position:
10.80 deg, I 33.0
25.50 deg, I 38.6
29.42 deg, I 35.0
29.84 deg, I 96.0
30.49 deg, I 86.6
31.63 deg, I 100.0
33.24 deg, I 77.0
33.84 deg, I 47.6
37.34 deg, I 47.3
37.74 deg, I 38.0
41.82 deg, I 29.0
61.99 deg, I 27.5

No. 7
# BaGa5Pd3
Simulated XRD peak list, Cu Ka. Input: a structure optimized by DFT (PBE).

```
18
Lattice="2.1353 -6.4900 0.0000 2.1353 6.4900 0.0000 0.0000 0.0000 13.0778" Properties=species:S:1:pos:R:3 pbc="T T T"
Ba 2.1353 4.2982 9.8084
Ba 2.1353 -4.2982 3.2695
Ga 0.0000 0.0000 0.0000
Ga 0.0000 0.0000 6.5389
Ga 2.1353 3.9021 0.8645
Ga 2.1353 3.9021 5.6744
Ga 2.1353 0.6419 8.5394
Ga 2.1353 0.6419 11.0773
Ga 2.1353 -0.6419 2.0005
Ga 2.1353 -0.6419 4.5384
Ga 2.1353 -3.9021 7.4034
Ga 2.1353 -3.9021 12.2133
Pd 2.1353 4.9659 3.2695
Pd 2.1353 1.4256 0.4389
Pd 2.1353 1.4256 6.1000
Pd 2.1353 -1.4256 6.9778
Pd 2.1353 -1.4256 12.6389
Pd 2.1353 -4.9659 9.8084
```

The 12 most intense peaks (2θ = 10–80°), sorted by position:
25.85 deg, I 38.7
27.28 deg, I 44.4
29.39 deg, I 33.9
30.09 deg, I 74.2
32.49 deg, I 100.0
34.45 deg, I 34.7
35.26 deg, I 35.7
40.67 deg, I 44.7
41.06 deg, I 31.9
42.33 deg, I 84.5
43.06 deg, I 67.0
45.77 deg, I 34.9

No. 8
# KSrAl2Cl8
Simulated XRD peak list, Cu Ka. Input: a structure optimized by DFT (PBE).

```
12
Lattice="3.3888 1.9565 9.7194 -3.3888 1.9565 9.7194 0.0000 -3.9131 9.7194" Properties=species:S:1:pos:R:3 pbc="T T T"
K 0.0000 0.0000 0.0000
Sr 0.0000 0.0000 14.5792
Al 0.0000 0.0000 7.3398
Al 0.0000 0.0000 21.8185
Cl -1.2568 -2.0571 12.8091
Cl -2.4099 0.0599 16.3492
Cl 0.0000 0.0000 9.5156
Cl -1.1531 2.1169 12.8091
Cl 1.1531 -2.1169 16.3492
Cl 0.0000 0.0000 19.6427
Cl 2.4099 -0.0599 12.8091
Cl 1.2568 2.0571 16.3492
```

The 12 most intense peaks (2θ = 10–80°), sorted by position:
15.40 deg, I 21.6
19.42 deg, I 77.3
21.48 deg, I 21.0
26.29 deg, I 37.3
27.53 deg, I 20.4
27.88 deg, I 77.8
28.83 deg, I 21.4
32.20 deg, I 100.0
32.90 deg, I 16.1
42.60 deg, I 17.3
45.96 deg, I 51.8
46.41 deg, I 53.5

No. 9
# Ba2HfAgSe5
Simulated XRD peak list, Cu Ka. Input: a structure optimized by DFT (PBE).

```
18
Lattice="2.0568 -9.8092 0.0000 2.0568 9.8092 0.0000 0.0000 0.0000 13.1017" Properties=species:S:1:pos:R:3 pbc="T T T"
Ba 2.0568 7.4607 6.5508
Ba 2.0568 7.3574 1.4327
Ba 2.0568 -7.3574 7.9835
Ba 2.0568 -7.4607 0.0000
Hf 2.0568 5.5722 10.6099
Hf 2.0568 -5.5722 4.0590
Ag 2.0568 0.9461 3.1212
Ag 2.0568 -0.9461 9.6721
Se 2.0568 8.2679 11.0837
Se 2.0568 4.1796 5.8708
Se 2.0568 4.0429 2.2430
Se 2.0568 2.9553 10.5730
Se 2.0568 0.0264 7.3507
Se 2.0568 -0.0264 0.7998
Se 2.0568 -2.9553 4.0222
Se 2.0568 -4.0429 8.7939
Se 2.0568 -4.1796 12.4216
Se 2.0568 -8.2679 4.5329
```

The 12 most intense peaks (2θ = 10–80°), sorted by position:
16.27 deg, I 18.5
22.28 deg, I 17.8
28.13 deg, I 53.6
30.19 deg, I 100.0
31.51 deg, I 18.0
34.43 deg, I 29.2
37.74 deg, I 16.3
41.35 deg, I 21.5
44.03 deg, I 26.3
47.20 deg, I 16.0
48.12 deg, I 23.4
53.06 deg, I 18.0